(1)
Structure and calculated powder XRD pattern of ZrIn2Rh (a crystal structure in Alexandria, relaxed with GGA-PBE; a wavelength of 1.5418 Å).

Largest 12 diffraction maxima, sorted by position, 5° ≤ 2θ ≤ 70°:
10.8 deg, rel. 3
30.6 deg, rel. 3
32.8 deg, rel. 4
36.1 deg, rel. 100
40.8 deg, rel. 39
44.0 deg, rel. 4
44.2 deg, rel. 10
53.3 deg, rel. 3
53.5 deg, rel. 2
59.1 deg, rel. 13
61.8 deg, rel. 15
64.2 deg, rel. 4

Structural model:
```
data_ZrIn2Rh
_symmetry_space_group_name_H-M 'P 1'
_symmetry_Int_Tables_number 1
_symmetry_space_group_name_Hall 'P 1'
_cell_length_a 8.766
_cell_length_b 8.766
_cell_length_c 8.766
_cell_angle_alpha 150.79
_cell_angle_beta 150.79
_cell_angle_gamma 41.79
loop_
_atom_site_label
_atom_site_fract_x
_atom_site_fract_y
_atom_site_fract_z
Zr1 0.136 0.136 0.000
Zr2 0.864 0.864 0.000
In1 0.000 0.500 0.500
In2 0.353 0.353 0.000
In3 0.500 0.000 0.500
In4 0.647 0.647 0.000
Rh1 0.250 0.750 0.500
Rh2 0.750 0.250 0.500
```

(2)
Structure and calculated powder XRD pattern of Pr7Dy (a crystal structure in Alexandria, relaxed with GGA-PBE; a wavelength of 1.5418 Å).

Largest 5 diffraction maxima, sorted by position, 5° ≤ 2θ ≤ 70°:
29.6 deg, rel. 100
34.4 deg, rel. 51
49.4 deg, rel. 36
58.6 deg, rel. 43
61.5 deg, rel. 13

Structural model:
```
data_Pr7Dy
_symmetry_space_group_name_H-M 'P 1'
_symmetry_Int_Tables_number 1
_symmetry_space_group_name_Hall 'P 1'
_cell_length_a 7.383
_cell_length_b 7.383
_cell_length_c 7.383
_cell_angle_alpha 60.00
_cell_angle_beta 60.00
_cell_angle_gamma 60.00
loop_
_atom_site_label
_atom_site_fract_x
_atom_site_fract_y
_atom_site_fract_z
Pr1 0.000 0.000 0.000
Pr2 0.000 0.000 0.500
Pr3 0.000 0.500 0.000
Pr4 0.000 0.500 0.500
Pr5 0.500 0.000 0.000
Pr6 0.500 0.000 0.500
Pr7 0.500 0.500 0.000
Dy1 0.500 0.500 0.500
```

(3)
Structure and calculated powder XRD pattern of Tb2MgGePt6 (a crystal structure in Alexandria, relaxed with GGA-PBE; a wavelength of 1.5418 Å).

Largest 12 diffraction maxima, sorted by position, 5° ≤ 2θ ≤ 70°:
10.8 deg, rel. 90
19.6 deg, rel. 15
21.7 deg, rel. 66
34.6 deg, rel. 16
37.7 deg, rel. 100
38.9 deg, rel. 31
39.9 deg, rel. 90
41.2 deg, rel. 27
41.4 deg, rel. 15
45.4 deg, rel. 20
47.7 deg, rel. 25
66.6 deg, rel. 28

Structural model:
```
data_Tb2MgGePt6
_symmetry_space_group_name_H-M 'P 1'
_symmetry_Int_Tables_number 1
_symmetry_space_group_name_Hall 'P 1'
_cell_length_a 5.618
_cell_length_b 5.618
_cell_length_c 8.796
_cell_angle_alpha 108.55
_cell_angle_beta 108.55
_cell_angle_gamma 60.00
loop_
_atom_site_label
_atom_site_fract_x
_atom_site_fract_y
_atom_site_fract_z
Tb1 0.202 0.202 0.106
Tb2 0.798 0.798 0.894
Mg1 0.000 0.000 0.500
Ge1 0.500 0.500 0.000
Pt1 0.232 0.745 0.224
Pt2 0.255 0.255 0.776
Pt3 0.255 0.768 0.776
Pt4 0.745 0.232 0.224
Pt5 0.745 0.745 0.224
Pt6 0.768 0.255 0.776
```

(4)
Structure and calculated powder XRD pattern of Ti3Nb (a crystal structure in Alexandria, relaxed with GGA-PBE; a wavelength of 1.5418 Å).

Largest 12 diffraction maxima, sorted by position, 5° ≤ 2θ ≤ 70°:
17.6 deg, rel. 5
25.7 deg, rel. 14
30.7 deg, rel. 6
35.6 deg, rel. 24
37.6 deg, rel. 27
40.4 deg, rel. 100
49.3 deg, rel. 3
51.6 deg, rel. 4
52.8 deg, rel. 15
61.0 deg, rel. 1
63.9 deg, rel. 16
69.8 deg, rel. 18

Structural model:
```
data_Ti3Nb
_symmetry_space_group_name_H-M 'P 1'
_symmetry_Int_Tables_number 1
_symmetry_space_group_name_Hall 'P 1'
_cell_length_a 5.827
_cell_length_b 5.827
_cell_length_c 4.778
_cell_angle_alpha 90.00
_cell_angle_beta 90.00
_cell_angle_gamma 120.00
loop_
_atom_site_label
_atom_site_fract_x
_atom_site_fract_y
_atom_site_fract_z
Ti1 0.166 0.332 0.250
Ti2 0.166 0.834 0.250
Ti3 0.332 0.166 0.750
Ti4 0.668 0.834 0.250
Ti5 0.834 0.166 0.750
Ti6 0.834 0.668 0.750
Nb1 0.333 0.667 0.750
Nb2 0.667 0.333 0.250
```

- Number 1 is which compound?
  ZrIn2Rh